Simulated powder diffraction line list
Compound: Ho4Er2In
Radiation: Cu Kα (weighted mean of Kα1 and Kα2)
Structure: a crystal structure in Alexandria, relaxed with PBE
Peak positions follow from Bragg's law for the DFT cell and can differ from measured ones.

The 10 most intense peaks (5 to 70 degrees two-theta), by intensity:
2θ = 33.36°, rel. 100, (2 4 2); 2θ = 28.88°, rel. 73, (2 0 2); 2θ = 32.30°, rel. 71, (1 7 1); 2θ = 31.45°, rel. 55, (3 3 1); 2θ = 30.39°, rel. 55, (2 6 0); 2θ = 33.76°, rel. 46, (0 6 2); 2θ = 35.53°, rel. 38, (4 0 0); 2θ = 35.83°, rel. 36, (1 1 3); 2θ = 57.90°, rel. 22, (5 1 3); 2θ = 49.83°, rel. 21, (4 6 2)

Atomic structure:
Unit cell a=10.1053 b=21.7008 c=7.8179 alpha=90.00 beta=90.00 gamma=90.00
Space group Fdd2 (No. 43)
Symmetry-distinct sites (fractional):
Ho1 0.0113 0.4192 0.0000 x16
Ho2 0.0384 0.1163 0.0802 x16
Er1 0.0356 0.2377 0.4225 x16
In1 0.0000 0.0000 0.8452 x8